(1)
MgH6C2O6: calculated X-ray diffraction stick pattern (Cu Kα), based on a crystal structure in the Materials Project, relaxed with GGA-PBE.

Largest 12 diffraction maxima, in order of rising 2θ, 2θ = 10–80°:
Position (°2θ)  I/Imax
18.67  859
22.83  202
23.54  1000
26.05  369
29.22  642
31.27  313
31.61  526
33.02  206
37.70  189
38.65  410
39.25  260
48.16  239

Structure:
```
data_MgH6C2O6
_chemical_formula_sum 'Mg4 H24 C8 O24'
_symmetry_space_group_name_H-M 'P b c a'
_symmetry_Int_Tables_number 61
_cell_length_a 7.5585
_cell_length_b 8.7546
_cell_length_c 8.5368
_cell_angle_alpha 90.00
_cell_angle_beta 90.00
_cell_angle_gamma 90.00
loop_
_symmetry_equiv_pos_as_xyz
'x,y,z'
'-x,-y,-z'
'-x+1/2,-y,z+1/2'
'x+1/2,y,-z+1/2'
'x+1/2,-y+1/2,-z'
'-x+1/2,y+1/2,z'
'-x,y+1/2,-z+1/2'
'x,-y+1/2,z+1/2'
loop_
_atom_site_label
_atom_site_type_symbol
_atom_site_fract_x
_atom_site_fract_y
_atom_site_fract_z
Mg1 Mg 0.0000 0.0000 0.0000
H1 H 0.0696 0.1727 0.3126
H2 H 0.1547 0.0073 0.6192
H3 H 0.1617 0.6158 0.9817
C1 C 0.0164 0.2383 0.7332
O1 O 0.0214 0.1000 0.7789
O2 O 0.0438 0.7203 0.3989
O3 O 0.2279 0.5312 0.0323
```

(2)
MgH6C2O6: calculated X-ray diffraction stick pattern (Cu Kα), based on a crystal structure in the Materials Project, relaxed with GGA-PBE.

Largest 12 diffraction maxima, in order of rising 2θ, 2θ = 10–80°:
Position (°2θ)  I/Imax
17.87  1000
18.95  478
19.35  530
20.26  223
20.56  235
24.02  323
26.01  844
26.51  503
28.98  267
33.51  205
33.64  340
34.21  506

Structure:
```
data_MgH6C2O6
_chemical_formula_sum 'Mg4 H24 C8 O24'
_symmetry_space_group_name_H-M 'P 1 21/c 1'
_symmetry_Int_Tables_number 14
_cell_length_a 8.7249
_cell_length_b 7.2038
_cell_length_c 9.4593
_cell_angle_alpha 90.00
_cell_angle_beta 98.06
_cell_angle_gamma 90.00
loop_
_symmetry_equiv_pos_as_xyz
'x,y,z'
'-x,-y,-z'
'-x,y+1/2,-z+1/2'
'x,-y+1/2,z+1/2'
loop_
_atom_site_label
_atom_site_type_symbol
_atom_site_fract_x
_atom_site_fract_y
_atom_site_fract_z
Mg1 Mg 0.0000 0.0000 0.0000
Mg2 Mg 0.5000 0.0000 0.5000
H1 H 0.0319 0.1524 0.2773
H2 H 0.1701 0.0252 0.6131
H3 H 0.1981 0.1014 0.2369
H4 H 0.2665 0.6063 0.4547
H5 H 0.2914 0.1096 0.9924
H6 H 0.4268 0.7076 0.7243
C1 C 0.1745 0.6151 0.0659
C2 C 0.4652 0.2251 0.2262
O1 O 0.0634 0.7244 0.0792
O2 O 0.0868 0.1092 0.1982
O3 O 0.2208 0.0196 0.9365
O4 O 0.2912 0.6547 0.0039
O5 O 0.4022 0.1075 0.2996
O6 O 0.4123 0.2283 0.5989
```